(1)
Calculated X-ray powder pattern of GdHoTlFe2 for Cu Kα, from the PBE geometry in OQMD.

Cell and atoms:
abc: 3.9818 7.2003 7.2003
angles: 30.60 90.00 90.00
Positions (direct):
Gd 0.0000 0.0000 0.0000
Ho 0.0000 0.2778 0.2778
Tl 0.5000 0.6398 0.6398
Fe 0.5000 0.4270 0.4270
Fe 0.5000 0.8474 0.8474

The 10 most intense peaks (5° ≤ 2θ ≤ 70°), sorted by position:
30.4 deg, I 52
33.2 deg, I 100
34.3 deg, I 78
40.2 deg, I 28
45.6 deg, I 22
47.9 deg, I 19
55.8 deg, I 20
57.3 deg, I 19
60.2 deg, I 31
62.4 deg, I 15



(2)
Calculated X-ray powder pattern of GdTmFe2I2 for Cu Kα, from the PBE geometry in OQMD.

Cell and atoms:
abc: 3.9361 3.9361 11.7106
angles: 90.00 90.00 120.00
Positions (direct):
Gd 0.0000 0.0000 0.0000
Tm 0.0000 0.0000 0.6722
Fe 0.3333 0.6667 0.8347
Fe 0.6667 0.3333 0.8299
I 0.3333 0.6667 0.4906
I 0.6667 0.3333 0.1869

The 10 most intense peaks (5° ≤ 2θ ≤ 70°), sorted by position:
7.5 deg, I 45
27.2 deg, I 47
30.3 deg, I 41
34.9 deg, I 100
40.6 deg, I 10
46.1 deg, I 43
46.5 deg, I 12
47.1 deg, I 10
59.1 deg, I 22
67.6 deg, I 23



(3)
Calculated X-ray powder pattern of TbGd2In3Fe3 for Cu Kα, from the PBE geometry in OQMD.

Cell and atoms:
abc: 3.9222 7.5002 7.5002
angles: 120.26 90.00 90.00
Positions (direct):
Tb 0.0000 0.0000 0.0000
Gd 0.0000 0.1788 0.5909
Gd 0.0000 0.5909 0.1788
In 0.5000 0.3342 0.3342
In 0.5000 0.5903 0.8452
In 0.5000 0.8452 0.5903
Fe 0.0000 0.5907 0.5907
Fe 0.5000 0.2564 0.9241
Fe 0.5000 0.9241 0.2564

The 10 most intense peaks (5° ≤ 2θ ≤ 70°), sorted by position:
23.8 deg, I 9
33.1 deg, I 100
35.9 deg, I 70
36.6 deg, I 35
36.7 deg, I 17
41.8 deg, I 14
46.3 deg, I 20
56.1 deg, I 8
60.4 deg, I 16
67.2 deg, I 15



(4)
Calculated X-ray powder pattern of NdGd2FeSn3Ir2 for Cu Kα, from the PBE geometry in OQMD.

Cell and atoms:
abc: 3.8466 7.6601 7.6601
angles: 120.22 90.00 90.00
Positions (direct):
Nd 0.0000 0.0000 0.0000
Gd 0.0000 0.4101 0.8200
Gd 0.0000 0.8200 0.4101
Fe 0.0000 0.4117 0.4117
Sn 0.5000 0.1559 0.4128
Sn 0.5000 0.4128 0.1559
Sn 0.5000 0.6637 0.6637
Ir 0.5000 0.0787 0.7396
Ir 0.5000 0.7396 0.0787

The 10 most intense peaks (5° ≤ 2θ ≤ 70°), sorted by position:
13.4 deg, I 14
33.0 deg, I 100
35.8 deg, I 94
35.9 deg, I 32
40.9 deg, I 25
43.1 deg, I 15
47.3 deg, I 22
60.7 deg, I 23
64.3 deg, I 15
66.0 deg, I 18



(5)
Calculated X-ray powder pattern of LiGdFeTe3 for Cu Kα, from the PBE geometry in OQMD.

Cell and atoms:
abc: 8.5004 4.1415 9.8741
angles: 90.00 101.76 90.00
Positions (direct):
Li 0.1825 0.2500 0.2337
Li 0.8175 0.7500 0.7663
Gd 0.3328 0.7500 0.8414
Gd 0.6672 0.2500 0.1586
Fe 0.0664 0.2500 0.5748
Fe 0.9336 0.7500 0.4252
Te 0.0675 0.2500 0.8427
Te 0.2454 0.7500 0.5171
Te 0.4033 0.7500 0.1633
Te 0.5967 0.2500 0.8367
Te 0.7546 0.2500 0.4829
Te 0.9325 0.7500 0.1573

The 10 most intense peaks (5° ≤ 2θ ≤ 70°), sorted by position:
12.5 deg, I 58
24.0 deg, I 41
27.7 deg, I 65
30.5 deg, I 100
35.2 deg, I 30
42.5 deg, I 21
43.7 deg, I 24
44.6 deg, I 25
45.0 deg, I 28
52.5 deg, I 23



(6)
Calculated X-ray powder pattern of Sm2Gd2Mg3Fe2 for Cu Kα, from the PBE geometry in OQMD.

Cell and atoms:
abc: 7.5448 3.8256 8.2365
angles: 90.00 110.01 90.00
Positions (direct):
Sm 0.0940 0.0000 0.2244
Sm 0.9060 0.0000 0.7756
Gd 0.3919 0.0000 0.6841
Gd 0.6081 0.0000 0.3159
Mg 0.0000 0.5000 0.5000
Mg 0.2944 0.5000 0.0033
Mg 0.7056 0.5000 0.9967
Fe 0.3615 0.5000 0.4016
Fe 0.6385 0.5000 0.5984

The 10 most intense peaks (5° ≤ 2θ ≤ 70°), sorted by position:
11.4 deg, I 32
13.8 deg, I 39
23.0 deg, I 41
23.3 deg, I 48
23.8 deg, I 48
31.1 deg, I 41
32.9 deg, I 88
33.5 deg, I 100
39.2 deg, I 48
40.4 deg, I 28



(7)
Calculated X-ray powder pattern of GdYMg3Fe2 for Cu Kα, from the PBE geometry in OQMD.

Cell and atoms:
abc: 3.7106 10.7469 10.7469
angles: 21.15 90.00 90.00
Positions (direct):
Gd 0.0000 0.0000 0.0000
Y 0.0000 0.6544 0.6544
Mg 0.0000 0.8267 0.8267
Mg 0.5000 0.2476 0.2476
Mg 0.5000 0.4054 0.4054
Fe 0.5000 0.1079 0.1079
Fe 0.5000 0.5462 0.5462

The 10 most intense peaks (5° ≤ 2θ ≤ 70°), sorted by position:
8.4 deg, I 100
25.9 deg, I 10
33.4 deg, I 19
35.1 deg, I 23
35.6 deg, I 26
37.5 deg, I 10
39.6 deg, I 16
44.9 deg, I 10
46.0 deg, I 8
59.2 deg, I 11



(8)
Calculated X-ray powder pattern of Gd3Fe7Ni2 for Cu Kα, from the PBE geometry in OQMD.

Cell and atoms:
abc: 8.7493 8.7493 8.7493
angles: 33.28 33.28 33.28
Positions (direct):
Gd 0.0000 0.0000 0.0000
Gd 0.1415 0.1415 0.1415
Gd 0.8585 0.8585 0.8585
Fe 0.0836 0.5807 0.5807
Fe 0.4193 0.4193 0.9164
Fe 0.4193 0.9164 0.4193
Fe 0.5000 0.5000 0.5000
Fe 0.5807 0.0836 0.5807
Fe 0.5807 0.5807 0.0836
Fe 0.9164 0.4193 0.4193
Ni 0.3323 0.3323 0.3323
Ni 0.6677 0.6677 0.6677

The 10 most intense peaks (5° ≤ 2θ ≤ 70°), sorted by position:
32.7 deg, I 47
35.6 deg, I 31
35.8 deg, I 51
41.8 deg, I 33
42.2 deg, I 100
43.9 deg, I 12
45.4 deg, I 12
62.4 deg, I 14
64.3 deg, I 11
68.8 deg, I 20



(9)
Calculated X-ray powder pattern of Gd2YFe3Ni6 for Cu Kα, from the PBE geometry in OQMD.

Cell and atoms:
abc: 8.5777 8.5777 8.5777
angles: 34.07 34.07 34.07
Positions (direct):
Gd 0.1387 0.1387 0.1387
Gd 0.8613 0.8613 0.8613
Y 0.0000 0.0000 0.0000
Fe 0.3332 0.3332 0.3332
Fe 0.5000 0.5000 0.5000
Fe 0.6668 0.6668 0.6668
Ni 0.0825 0.5814 0.5814
Ni 0.4186 0.4186 0.9175
Ni 0.4186 0.9175 0.4186
Ni 0.5814 0.0825 0.5814
Ni 0.5814 0.5814 0.0825
Ni 0.9175 0.4186 0.4186

The 10 most intense peaks (5° ≤ 2θ ≤ 70°), sorted by position:
33.1 deg, I 52
35.7 deg, I 54
36.1 deg, I 42
41.7 deg, I 46
42.4 deg, I 100
44.2 deg, I 22
45.7 deg, I 28
46.2 deg, I 25
62.5 deg, I 16
68.8 deg, I 22



(10)
Calculated X-ray powder pattern of GdY2Fe8Ni for Cu Kα, from the PBE geometry in OQMD.

Cell and atoms:
abc: 8.6655 8.6655 8.6655
angles: 33.90 33.90 33.90
Positions (direct):
Gd 0.0000 0.0000 0.0000
Y 0.1418 0.1418 0.1418
Y 0.8582 0.8582 0.8582
Fe 0.0801 0.5816 0.5816
Fe 0.3330 0.3330 0.3330
Fe 0.4184 0.4184 0.9199
Fe 0.4184 0.9199 0.4184
Fe 0.5816 0.0801 0.5816
Fe 0.5816 0.5816 0.0801
Fe 0.6670 0.6670 0.6670
Fe 0.9199 0.4184 0.4184
Ni 0.5000 0.5000 0.5000

The 10 most intense peaks (5° ≤ 2θ ≤ 70°), sorted by position:
32.8 deg, I 33
35.5 deg, I 41
35.8 deg, I 31
41.4 deg, I 34
41.9 deg, I 15
42.1 deg, I 100
44.4 deg, I 18
45.4 deg, I 12
68.3 deg, I 22
68.7 deg, I 11



(11)
Calculated X-ray powder pattern of Gd2YFe6Ni3 for Cu Kα, from the PBE geometry in OQMD.

Cell and atoms:
abc: 8.8039 8.8039 8.8039
angles: 32.89 32.89 32.89
Positions (direct):
Gd 0.1412 0.1412 0.1412
Gd 0.8588 0.8588 0.8588
Y 0.0000 0.0000 0.0000
Fe 0.0809 0.5813 0.5813
Fe 0.4187 0.4187 0.9191
Fe 0.4187 0.9191 0.4187
Fe 0.5813 0.0809 0.5813
Fe 0.5813 0.5813 0.0809
Fe 0.9191 0.4187 0.4187
Ni 0.3331 0.3331 0.3331
Ni 0.5000 0.5000 0.5000
Ni 0.6669 0.6669 0.6669

The 10 most intense peaks (5° ≤ 2θ ≤ 70°), sorted by position:
10.6 deg, I 13
32.6 deg, I 44
35.5 deg, I 34
36.0 deg, I 53
42.0 deg, I 33
42.3 deg, I 100
44.4 deg, I 16
45.1 deg, I 22
45.8 deg, I 20
69.1 deg, I 22



(12)
Calculated X-ray powder pattern of GdY2Fe2Ni7 for Cu Kα, from the PBE geometry in OQMD.

Cell and atoms:
abc: 8.6076 8.6076 8.6076
angles: 33.73 33.73 33.73
Positions (direct):
Gd 0.0000 0.0000 0.0000
Y 0.1389 0.1389 0.1389
Y 0.8611 0.8611 0.8611
Fe 0.3327 0.3327 0.3327
Fe 0.6673 0.6673 0.6673
Ni 0.0820 0.5810 0.5810
Ni 0.4190 0.4190 0.9180
Ni 0.4190 0.9180 0.4190
Ni 0.5000 0.5000 0.5000
Ni 0.5810 0.0820 0.5810
Ni 0.5810 0.5810 0.0820
Ni 0.9180 0.4190 0.4190

The 10 most intense peaks (5° ≤ 2θ ≤ 70°), sorted by position:
33.1 deg, I 33
36.0 deg, I 33
36.1 deg, I 30
41.9 deg, I 34
42.5 deg, I 100
44.7 deg, I 16
45.9 deg, I 14
49.7 deg, I 10
64.7 deg, I 16
69.2 deg, I 19



(13)
Calculated X-ray powder pattern of GdFe4P2 for Cu Kα, from the PBE geometry in OQMD.

Cell and atoms:
abc: 7.0417 7.0417 3.6067
angles: 90.00 90.00 90.00
Positions (direct):
Gd 0.0000 0.0000 0.0000
Gd 0.5000 0.5000 0.5000
Fe 0.0812 0.3448 0.5000
Fe 0.1552 0.5812 0.0000
Fe 0.3448 0.0812 0.5000
Fe 0.4188 0.8448 0.0000
Fe 0.5812 0.1552 0.0000
Fe 0.6552 0.9188 0.5000
Fe 0.8448 0.4188 0.0000
Fe 0.9188 0.6552 0.5000
P 0.2203 0.7797 0.5000
P 0.2797 0.2797 0.0000
P 0.7203 0.7203 0.0000
P 0.7797 0.2203 0.5000

The 10 most intense peaks (5° ≤ 2θ ≤ 70°), sorted by position:
25.3 deg, I 16
27.8 deg, I 22
36.1 deg, I 13
37.9 deg, I 100
40.5 deg, I 45
44.2 deg, I 21
48.0 deg, I 22
50.6 deg, I 19
59.9 deg, I 17
66.7 deg, I 19



(14)
Calculated X-ray powder pattern of GdFePb for Cu Kα, from the PBE geometry in OQMD.

Cell and atoms:
abc: 7.6661 7.6661 3.8453
angles: 90.00 90.00 120.00
Positions (direct):
Gd 0.0000 0.5982 0.0000
Gd 0.4018 0.4018 0.0000
Gd 0.5982 0.0000 0.0000
Fe 0.0000 0.0000 0.0000
Fe 0.3333 0.6667 0.5000
Fe 0.6667 0.3333 0.5000
Pb 0.0000 0.2657 0.5000
Pb 0.2657 0.0000 0.5000
Pb 0.7343 0.7343 0.5000

The 10 most intense peaks (5° ≤ 2θ ≤ 70°), sorted by position:
23.2 deg, I 19
33.0 deg, I 100
35.8 deg, I 93
40.8 deg, I 26
43.0 deg, I 14
47.3 deg, I 16
55.3 deg, I 18
60.7 deg, I 21
60.8 deg, I 14
66.0 deg, I 25